This entry pairs a crystal structure of Na2Mg2MoO6 with its computed powder XRD pattern. Radiation: a wavelength of 1.5418 Å. Structure: a cell relaxed with PBE+U.
Lines closer than 0.1° are merged.

Crystal structure
```
data_Na2Mg2MoO6
_symmetry_space_group_name_H-M 'C 1 2/m 1'
_symmetry_Int_Tables_number 12
_cell_length_a 5.355
_cell_length_b 9.059
_cell_length_c 5.849
_cell_angle_alpha 90.00
_cell_angle_beta 109.05
_cell_angle_gamma 90.00
loop_
_symmetry_equiv_pos_as_xyz
'x,y,z'
'-x,-y,-z'
'-x,y,-z'
'x,-y,z'
'x+1/2,y+1/2,z'
'-x+1/2,-y+1/2,-z'
'-x+1/2,y+1/2,-z'
'x+1/2,-y+1/2,z'
loop_
_atom_site_label
_atom_site_fract_x
_atom_site_fract_y
_atom_site_fract_z
Na1 0.000 0.174 0.000
Mg1 0.000 0.336 0.500
Mo1 0.000 0.000 0.500
O1 0.219 0.158 0.694
O2 0.239 0.000 0.308
```

Principal peaks in the range 2θ = 5–70°, by angle:
2θ (°), d [Å], I (rel.), hkl
16.0, 5.528, 100, 0 0 1
20.1, 4.419, 64, 1 1 0
25.4, 3.504, 37, 0 2 1
39.7, 2.272, 40, 2 0 -2
40.8, 2.210, 75, 1 3 1
56.2, 1.637, 21, 1 3 -3